No. 1
# MgAg7Au4
Simulated XRD peak list, copper Kα. Input: a PBE-relaxed structure.

Peak list (10 most intense, 15° ≤ 2θ ≤ 90°, in order of falling intensity)
d_spacing	I_rel
2.209	100
2.228	97
2.535	76
2.515	73
1.785	51
4.419	51
1.397	22
1.392	22
1.394	20
1.381	19

Crystal structure
```
MgAg7Au4
1.0
5.2415 -2.5353 0.0000
5.2415 2.5353 0.0000
-5.2131 0.0000 8.8307
Mg Ag Au
1 7 4
Direct
0.0000 0.0000 0.0000 Mg
0.1099 0.1099 0.4522 Ag
0.2872 0.2872 0.0838 Ag
0.3444 0.3444 0.3813 Ag
0.5000 0.5000 0.0000 Ag
0.6556 0.6556 0.6187 Ag
0.7128 0.7128 0.9162 Ag
0.8901 0.8901 0.5478 Ag
0.1920 0.1920 0.7732 Au
0.4118 0.4118 0.6888 Au
0.5882 0.5882 0.3112 Au
0.8080 0.8080 0.2268 Au
```


No. 2
# Er12TlCo6
Simulated XRD peak list, copper Kα. Input: a PBE-relaxed structure.

Peak list (10 most intense, 15° ≤ 2θ ≤ 90°, in order of falling intensity)
d_spacing	I_rel
2.556	100
2.760	58
3.024	48
1.551	40
1.640	37
1.875	24
2.391	22
1.352	22
1.112	18
1.127	17

Crystal structure
```
Er12TlCo6
1.0
-4.7812 4.7812 4.7812
4.7812 -4.7812 4.7812
4.7812 4.7812 -4.7812
Er Tl Co
12 1 6
Direct
0.1085 0.3024 0.8061 Er
0.1939 0.4962 0.3024 Er
0.1939 0.8915 0.6976 Er
0.3024 0.1939 0.4962 Er
0.3024 0.8061 0.1085 Er
0.4962 0.3024 0.1939 Er
0.5038 0.6976 0.8061 Er
0.6976 0.1939 0.8915 Er
0.6976 0.8061 0.5038 Er
0.8061 0.1085 0.3024 Er
0.8061 0.5038 0.6976 Er
0.8915 0.6976 0.1939 Er
0.0000 0.0000 0.0000 Tl
0.1138 0.5000 0.6138 Co
0.3862 0.8862 0.5000 Co
0.5000 0.3862 0.8862 Co
0.5000 0.6138 0.1138 Co
0.6138 0.1138 0.5000 Co
0.8862 0.5000 0.3862 Co
```